Structure and theoretical powder diffraction line list of DyMnFeO5 (a crystal structure in Alexandria, relaxed with PBE+U; Cu Kα X-rays).
Lines closer than 0.1° are merged.

Most intense lines, 2θ from 15° to 90°, by angle:
d/Å  Rel. int.  index
5.800  39  0 0 1
3.130  69  1 2 1
2.917  100  2 1 1
2.900  16  0 0 2
2.677  38  1 3 0
2.574  26  1 1 2
2.200  25  2 1 2
1.997  19  3 2 1
1.967  17  1 3 2
1.678  21  2 1 3
1.567  25  3 3 2
1.550  16  4 0 2

Cell and atoms:
a = 7.3358 Å, b = 8.6259 Å, c = 5.7997 Å
α = 90.00°, β = 90.00°, γ = 90.00°
Fractional positions:
Dy  0.1323  0.1692  0.0000
Dy  0.3677  0.6692  0.0000
Dy  0.6323  0.3308  0.0000
Dy  0.8677  0.8308  0.0000
Mn  0.0000  0.5000  0.2490
Mn  0.0000  0.5000  0.7510
Mn  0.5000  0.0000  0.2490
Mn  0.5000  0.0000  0.7510
Fe  0.1067  0.8534  0.5000
Fe  0.3933  0.3534  0.5000
Fe  0.6067  0.6466  0.5000
Fe  0.8933  0.1466  0.5000
O  0.0000  0.0000  0.2663
O  0.0000  0.0000  0.7337
O  0.1070  0.7050  0.2403
O  0.1070  0.7050  0.7597
O  0.1507  0.4300  0.5000
O  0.1618  0.4423  0.0000
O  0.3382  0.9423  0.0000
O  0.3493  0.9300  0.5000
O  0.3930  0.2050  0.2403
O  0.3930  0.2050  0.7597
O  0.5000  0.5000  0.2663
O  0.5000  0.5000  0.7337
O  0.6070  0.7950  0.2403
O  0.6070  0.7950  0.7597
O  0.6507  0.0700  0.5000
O  0.6618  0.0577  0.0000
O  0.8382  0.5577  0.0000
O  0.8493  0.5700  0.5000
O  0.8930  0.2950  0.2403
O  0.8930  0.2950  0.7597